(1)
Structure and simulated powder X-ray diffraction pattern of ScU8S17 (a GGA-PBE-relaxed structure; copper Kα).
No peak broadening, texture or thermal motion is included.

Cell: 13.250 8.396 10.477 Å, 90.00 101.37 90.00°
Space group C2/m (No. 12)
Inequivalent atoms, fractional coordinates:
Sc1 0.000 0.000 0.000 (multiplicity 2)
U1 0.059 0.243 0.698 (multiplicity 8)
U2 0.181 0.500 0.017 (multiplicity 4)
U3 0.205 0.000 0.460 (multiplicity 4)
S1 0.000 0.000 0.500 (multiplicity 2)
S2 0.021 0.500 0.170 (multiplicity 4)
S3 0.062 0.000 0.236 (multiplicity 4)
S4 0.127 0.305 0.466 (multiplicity 8)
S5 0.136 0.194 0.962 (multiplicity 8)
S6 0.197 0.500 0.753 (multiplicity 4)
S7 0.212 0.000 0.721 (multiplicity 4)

Main lines, by angle (10° ≤ 2θ ≤ 90°):
| 2θ (°) | Rel. int. |
| --- | --- |
| 24.12 | 61 |
| 25.26 | 100 |
| 25.82 | 66 |
| 26.08 | 52 |
| 27.44 | 78 |
| 34.94 | 51 |
| 43.11 | 45 |
| 45.90 | 42 |



(2)
Structure and simulated powder X-ray diffraction pattern of Ac2Dy3In4 (a GGA-PBE-relaxed structure; copper Kα).
No peak broadening, texture or thermal motion is included.

Cell: 7.206 17.387 9.212 Å, 90.00 90.00 90.00°
Space group Cmce (No. 64)
Inequivalent atoms, fractional coordinates:
Ac1 0.000 0.110 0.079 (multiplicity 8)
Dy1 0.000 0.000 0.500 (multiplicity 4)
Dy2 0.250 0.219 0.750 (multiplicity 8)
In1 0.000 0.182 0.462 (multiplicity 8)
In2 0.250 0.042 0.750 (multiplicity 8)

Main lines, by angle (10° ≤ 2θ ≤ 90°):
| 2θ (°) | Rel. int. |
| --- | --- |
| 27.66 | 26 |
| 28.51 | 46 |
| 30.14 | 86 |
| 30.88 | 49 |
| 31.53 | 100 |
| 32.27 | 27 |
| 32.39 | 32 |
| 50.15 | 27 |



(3)
Structure and simulated powder X-ray diffraction pattern of Dy2Tm2Se2S3 (a GGA-PBE-relaxed structure; copper Kα).
No peak broadening, texture or thermal motion is included.

Cell: 5.282 5.282 14.594 Å, 90.00 90.00 90.00°
Space group I4/mmm (No. 139)
Inequivalent atoms, fractional coordinates:
Dy1 0.000 0.000 0.201 (multiplicity 4)
Tm1 0.000 0.500 0.000 (multiplicity 4)
Se1 0.000 0.000 0.397 (multiplicity 4)
S1 0.000 0.000 0.000 (multiplicity 2)
S2 0.000 0.500 0.250 (multiplicity 4)

Main lines, by angle (10° ≤ 2θ ≤ 90°):
| 2θ (°) | Rel. int. |
| --- | --- |
| 24.40 | 24 |
| 26.82 | 89 |
| 33.94 | 100 |
| 34.36 | 36 |
| 35.13 | 57 |
| 48.76 | 36 |
| 49.65 | 42 |
| 56.52 | 24 |



(4)
Structure and simulated powder X-ray diffraction pattern of Na4Pu3BiTe8 (a GGA-PBE-relaxed structure; copper Kα).
No peak broadening, texture or thermal motion is included.

Cell: 9.0228 9.0228 22.5066 Å, 90.00 90.00 120.00°
Space group R-3m (No. 166, hexagonal axes)
Inequivalent atoms, fractional coordinates:
Na1 0.0000 0.0000 0.0000 (multiplicity 3)
Na2 0.0000 0.5000 0.0000 (multiplicity 9)
Pu1 0.0000 0.5000 0.5000 (multiplicity 9)
Bi1 0.0000 0.0000 0.5000 (multiplicity 3)
Te1 0.0000 0.0000 0.2439 (multiplicity 6)
Te2 0.0023 0.5011 0.7547 (multiplicity 18)

Main lines, by angle (10° ≤ 2θ ≤ 90°):
| 2θ (°) | Rel. int. |
| --- | --- |
| 11.80 | 47 |
| 23.11 | 23 |
| 27.80 | 100 |
| 39.47 | 38 |
| 39.97 | 38 |
| 49.38 | 21 |
| 64.63 | 17 |
| 65.33 | 18 |



(5)
Structure and simulated powder X-ray diffraction pattern of Ac3In2Pd2Au4 (a GGA-PBE-relaxed structure; copper Kα).
No peak broadening, texture or thermal motion is included.

Cell: 4.7525 4.7525 15.0086 Å, 90.00 90.00 120.00°
Space group P-3m1 (No. 164)
Inequivalent atoms, fractional coordinates:
Ac1 0.0000 0.0000 0.0000 (multiplicity 1)
Ac2 0.0000 0.0000 0.2622 (multiplicity 2)
In1 0.3333 0.6667 0.5668 (multiplicity 2)
Pd1 0.3333 0.6667 0.1386 (multiplicity 2)
Au1 0.3333 0.6667 0.3792 (multiplicity 2)
Au2 0.3333 0.6667 0.8713 (multiplicity 2)

Main lines, by angle (10° ≤ 2θ ≤ 90°):
| 2θ (°) | Rel. int. |
| --- | --- |
| 24.67 | 28 |
| 28.07 | 24 |
| 32.29 | 100 |
| 37.86 | 89 |
| 50.59 | 29 |
| 63.14 | 19 |
| 64.89 | 28 |
| 68.38 | 16 |



(6)
Structure and simulated powder X-ray diffraction pattern of LiTh2Pd5 (a GGA-PBE-relaxed structure; copper Kα).
No peak broadening, texture or thermal motion is included.

Cell: 3.240 16.500 13.086 Å, 90.00 90.00 90.00°
Space group Cmcm (No. 63)
Inequivalent atoms, fractional coordinates:
Li1 0.000 0.172 0.250 (multiplicity 4)
Th1 0.000 0.106 0.567 (multiplicity 8)
Pd1 0.000 0.049 0.138 (multiplicity 8)
Pd2 0.000 0.198 0.750 (multiplicity 4)
Pd3 0.000 0.248 0.085 (multiplicity 8)

Main lines, by angle (10° ≤ 2θ ≤ 90°):
| 2θ (°) | Rel. int. |
| --- | --- |
| 13.53 | 47 |
| 23.06 | 34 |
| 28.07 | 100 |
| 36.00 | 44 |
| 38.28 | 81 |
| 38.71 | 34 |
| 41.41 | 49 |
| 47.63 | 44 |



(7)
Structure and simulated powder X-ray diffraction pattern of SrMg6In2 (a GGA-PBE-relaxed structure; copper Kα).
No peak broadening, texture or thermal motion is included.

Cell: 4.667 4.667 10.819 Å, 90.00 90.00 90.00°
Space group P4/mmm (No. 123)
Inequivalent atoms, fractional coordinates:
Sr1 0.000 0.000 0.000 (multiplicity 1)
Mg1 0.000 0.000 0.500 (multiplicity 1)
Mg2 0.000 0.500 0.300 (multiplicity 4)
Mg3 0.500 0.500 0.500 (multiplicity 1)
In1 0.500 0.500 0.133 (multiplicity 2)

Main lines, by angle (10° ≤ 2θ ≤ 90°):
| 2θ (°) | Rel. int. |
| --- | --- |
| 27.02 | 70 |
| 28.27 | 86 |
| 31.35 | 100 |
| 31.76 | 50 |
| 38.47 | 75 |
| 38.58 | 83 |
| 50.52 | 51 |
| 55.65 | 77 |



(8)
Structure and simulated powder X-ray diffraction pattern of Tm10In3Pb3 (a GGA-PBE-relaxed structure; copper Kα).
No peak broadening, texture or thermal motion is included.

Cell: 8.8976 8.8976 6.5688 Å, 90.00 90.00 120.00°
Space group P-62m (No. 189)
Inequivalent atoms, fractional coordinates:
Tm1 0.0000 0.2356 0.0000 (multiplicity 3)
Tm2 0.0000 0.7654 0.5000 (multiplicity 3)
Tm3 0.3333 0.6667 0.2438 (multiplicity 4)
In1 0.0000 0.6018 0.0000 (multiplicity 3)
Pb1 0.0000 0.3993 0.5000 (multiplicity 3)

Main lines, by angle (10° ≤ 2θ ≤ 90°):
| 2θ (°) | Rel. int. |
| --- | --- |
| 27.15 | 19 |
| 30.70 | 31 |
| 33.66 | 100 |
| 33.93 | 71 |
| 34.93 | 32 |
| 49.49 | 16 |
| 52.27 | 29 |
| 67.09 | 20 |



(9)
Structure and simulated powder X-ray diffraction pattern of Ac2SmAu6 (a GGA-PBE-relaxed structure; copper Kα).
No peak broadening, texture or thermal motion is included.

Cell: 8.3579 8.3579 3.7759 Å, 90.00 90.00 120.00°
Space group P6/mmm (No. 191)
Inequivalent atoms, fractional coordinates:
Ac1 0.3333 0.6667 0.0000 (multiplicity 2)
Sm1 0.0000 0.0000 0.0000 (multiplicity 1)
Au1 0.0000 0.3304 0.5000 (multiplicity 6)

Main lines, by angle (10° ≤ 2θ ≤ 90°):
| 2θ (°) | Rel. int. |
| --- | --- |
| 31.94 | 100 |
| 37.27 | 75 |
| 49.88 | 29 |
| 62.46 | 34 |
| 63.88 | 28 |
| 67.21 | 14 |
| 79.49 | 16 |
| 86.91 | 14 |



Repeat the fifth record exactly.
Structure and simulated powder X-ray diffraction pattern of Ac3In2Pd2Au4 (a GGA-PBE-relaxed structure; copper Kα).
No peak broadening, texture or thermal motion is included.

Cell: 4.7525 4.7525 15.0086 Å, 90.00 90.00 120.00°
Space group P-3m1 (No. 164)
Inequivalent atoms, fractional coordinates:
Ac1 0.0000 0.0000 0.0000 (multiplicity 1)
Ac2 0.0000 0.0000 0.2622 (multiplicity 2)
In1 0.3333 0.6667 0.5668 (multiplicity 2)
Pd1 0.3333 0.6667 0.1386 (multiplicity 2)
Au1 0.3333 0.6667 0.3792 (multiplicity 2)
Au2 0.3333 0.6667 0.8713 (multiplicity 2)

Main lines, by angle (10° ≤ 2θ ≤ 90°):
| 2θ (°) | Rel. int. |
| --- | --- |
| 24.67 | 28 |
| 28.07 | 24 |
| 32.29 | 100 |
| 37.86 | 89 |
| 50.59 | 29 |
| 63.14 | 19 |
| 64.89 | 28 |
| 68.38 | 16 |